No. 1
Simulated X-ray powder pattern
Compound: AcLaPrZn
Radiation: Cu Kα (weighted mean of Kα1 and Kα2)
Structure: a cell relaxed with GGA-PBE

Principal peaks in the range 10 to 90 degrees two-theta, sorted by position:
2θ 25.35, I 34
2θ 29.41, I 15
2θ 30.60, I 100
2θ 33.28, I 49
2θ 45.00, I 19
2θ 47.78, I 18
2θ 52.63, I 11
2θ 55.94, I 13
2θ 57.81, I 33
2θ 76.58, I 10

Cell and atoms:
Unit cell a=3.807 b=3.807 c=9.112 alpha=90.00 beta=90.00 gamma=90.00
Element x y z (fractional)
Ac1 0.000 0.000 0.000
La1 0.500 0.500 0.303
Pr1 0.500 0.500 0.701
Zn1 0.000 0.000 0.507

No. 2
Simulated X-ray powder pattern
Compound: HfTl3Cr2Te6
Radiation: Cu Kα (weighted mean of Kα1 and Kα2)
Structure: a cell relaxed with GGA-PBE

Principal peaks in the range 10 to 90 degrees two-theta, sorted by position:
2θ 25.25, I 17
2θ 27.44, I 60
2θ 32.03, I 12
2θ 33.20, I 100
2θ 44.50, I 38
2θ 50.68, I 24
2θ 55.88, I 15
2θ 56.63, I 21
2θ 74.73, I 19
2θ 84.02, I 9

Cell and atoms:
Unit cell a=7.052 b=7.052 c=8.382 alpha=90.03 beta=90.03 gamma=119.98
Element x y z (fractional)
Hf1 0.000 0.000 0.000
Tl1 0.000 0.000 0.500
Tl2 0.333 0.667 0.500
Tl3 0.667 0.333 0.500
Cr1 0.333 0.667 0.000
Cr2 0.667 0.333 0.000
Te1 0.001 0.345 0.188
Te2 0.344 0.344 0.812
Te3 0.345 0.001 0.188
Te4 0.655 0.999 0.812
Te5 0.656 0.656 0.188
Te6 0.999 0.655 0.812

No. 3
Simulated X-ray powder pattern
Compound: Dy3Er2Tm8
Radiation: Cu Kα (weighted mean of Kα1 and Kα2)
Structure: a cell relaxed with GGA-PBE

Principal peaks in the range 10 to 90 degrees two-theta, sorted by position:
2θ 24.41, I 18
2θ 31.39, I 100
2θ 32.30, I 48
2θ 32.52, I 59
2θ 32.95, I 57
2θ 33.52, I 17
2θ 36.30, I 18
2θ 37.44, I 26
2θ 57.31, I 20
2θ 65.15, I 16

Cell and atoms:
Unit cell a=11.773 b=11.773 c=11.773 alpha=152.95 beta=146.74 gamma=43.38
Element x y z (fractional)
Dy1 0.000 0.000 0.000
Dy2 0.266 0.500 0.766
Dy3 0.734 0.500 0.234
Er1 0.278 0.778 0.500
Er2 0.722 0.222 0.500
Tm1 0.109 0.347 0.762
Tm2 0.187 0.187 0.000
Tm3 0.415 0.653 0.762
Tm4 0.425 0.925 0.500
Tm5 0.575 0.075 0.500
Tm6 0.585 0.347 0.238
Tm7 0.813 0.813 0.000
Tm8 0.891 0.653 0.238

No. 4
Simulated X-ray powder pattern
Compound: Rb2SnSb
Radiation: Cu Kα (weighted mean of Kα1 and Kα2)
Structure: a cell relaxed with GGA-PBE

Principal peaks in the range 10 to 90 degrees two-theta, sorted by position:
2θ 15.72, I 37
2θ 16.44, I 50
2θ 16.58, I 48
2θ 22.14, I 45
2θ 27.75, I 91
2θ 28.00, I 100
2θ 29.26, I 76
2θ 34.41, I 35
2θ 34.67, I 40
2θ 35.42, I 30

Cell and atoms:
Unit cell a=5.770 b=6.128 c=6.850 alpha=113.87 beta=111.22 gamma=94.95
Element x y z (fractional)
Rb1 0.000 0.000 0.000
Rb2 0.380 0.355 0.711
Sn1 0.917 0.649 0.362
Sb1 0.418 0.695 0.349

No. 5
Simulated X-ray powder pattern
Compound: ErSc2Ag2
Radiation: Cu Kα (weighted mean of Kα1 and Kα2)
Structure: a cell relaxed with GGA-PBE

Principal peaks in the range 10 to 90 degrees two-theta, sorted by position:
2θ 13.78, I 20
2θ 31.54, I 11
2θ 34.90, I 24
2θ 35.73, I 27
2θ 35.99, I 100
2θ 50.81, I 16
2θ 63.29, I 13
2θ 64.37, I 17
2θ 65.40, I 9
2θ 76.33, I 9

Cell and atoms:
Unit cell a=12.972 b=12.972 c=5.025 alpha=90.00 beta=90.00 gamma=164.64
Element x y z (fractional)
Er1 0.146 0.854 0.750
Er2 0.854 0.146 0.250
Sc1 0.047 0.953 0.250
Sc2 0.236 0.764 0.250
Sc3 0.764 0.236 0.750
Sc4 0.953 0.047 0.750
Ag1 0.357 0.643 0.750
Ag2 0.456 0.544 0.250
Ag3 0.544 0.456 0.750
Ag4 0.643 0.357 0.250

No. 6
Simulated X-ray powder pattern
Compound: ScPa3C3
Radiation: Cu Kα (weighted mean of Kα1 and Kα2)
Structure: a cell relaxed with GGA-PBE

Principal peaks in the range 10 to 90 degrees two-theta, sorted by position:
2θ 18.10, I 16
2θ 25.71, I 19
2θ 31.62, I 100
2θ 36.67, I 61
2θ 41.19, I 9
2θ 52.83, I 43
2θ 62.89, I 45
2θ 66.03, I 15
2θ 86.57, I 19
2θ 89.41, I 21

Cell and atoms:
Unit cell a=4.901 b=4.901 c=4.901 alpha=90.00 beta=90.00 gamma=90.00
Element x y z (fractional)
Sc1 0.000 0.000 0.000
Pa1 0.000 0.500 0.500
Pa2 0.500 0.000 0.500
Pa3 0.500 0.500 0.000
C1 0.000 0.000 0.500
C2 0.000 0.500 0.000
C3 0.500 0.000 0.000